Structure and computed XRD peak list of Na6V2AsC4O16 (DFT lattice parameters and positions (GGA+U); Cu Kα X-rays).

Main lines, low angle first (2θ from 15° to 90°):
two_theta	Rel. int.
17.68	34
20.76	92
32.80	100
35.80	61
45.66	15
47.98	17
49.34	15
56.14	38
62.44	13
68.40	16

Atomic structure:
Lattice parameters (Å, degrees): 14.188 14.188 14.188 90.00 90.00 90.00
Space group Fd-3 (No. 203, origin choice 2)
One atom of each set of equivalent atoms:
1 Na 0.083 0.375 0.375
2 V 0.000 0.000 0.500
3 As 0.125 0.125 0.125
4 C 0.035 0.035 0.715
5 O 0.023 0.105 0.773
6 O 0.055 0.055 0.055